No. 1
For Dy3Se2NO, a PBE-relaxed structure gives the simulated powder XRD pattern in this record (λ = 1.5418 Å (Cu Kα)).

Atomic structure:
```
data_Dy3Se2NO
_chemical_formula_sum 'Dy12 Se8 N4 O4'
_symmetry_space_group_name_H-M 'C 1 2/m 1'
_symmetry_Int_Tables_number 12
_cell_length_a 15.4717
_cell_length_b 3.8945
_cell_length_c 9.6659
_cell_angle_alpha 90.00
_cell_angle_beta 97.35
_cell_angle_gamma 90.00
loop_
_symmetry_equiv_pos_as_xyz
'x,y,z'
'-x,-y,-z'
'-x,y,-z'
'x,-y,z'
'x+1/2,y+1/2,z'
'-x+1/2,-y+1/2,-z'
'-x+1/2,y+1/2,-z'
'x+1/2,-y+1/2,z'
loop_
_atom_site_label
_atom_site_type_symbol
_atom_site_fract_x
_atom_site_fract_y
_atom_site_fract_z
_atom_site_occupancy
Dy1 Dy 0.0443 0.0000 0.2606 1
Dy2 Dy 0.1081 0.5000 0.9449 1
Dy3 Dy 0.1971 0.0000 0.6744 1
Se1 Se 0.1282 0.5000 0.4734 1
Se2 Se 0.2123 0.0000 0.1500 1
N1 N 0.0975 0.0000 0.8118 1
O1 O 0.0357 0.5000 0.1395 1
```

Peak list (10 most intense, 2θ = 10–80°, by angle)
two_theta	I (rel.)	hkl
26.1	134	4 0 1
27.9	499	4 0 -2
29.6	121	3 1 -1
30.6	1000	1 1 2
37.3	319	5 1 0
40.9	159	2 0 4
46.0	314	3 1 -4
46.6	188	0 2 0
47.6	89	7 1 0
55.2	151	4 2 -2


No. 2
For NdAl3Pb2O8, a PBE-relaxed structure gives the simulated powder XRD pattern in this record (λ = 1.5418 Å (Cu Kα)).

Atomic structure:
```
data_NdAl3Pb2O8
_chemical_formula_sum 'Nd4 Al12 Pb8 O32'
_symmetry_space_group_name_H-M 'P n -3 m'
_symmetry_Int_Tables_number 224
_cell_length_a 9.5207
_cell_length_b 9.5207
_cell_length_c 9.5207
_cell_angle_alpha 90.00
_cell_angle_beta 90.00
_cell_angle_gamma 90.00
loop_
_symmetry_equiv_pos_as_xyz
'x,y,z'
'-x,-y,-z'
'-y,x+1/2,z+1/2'
'y,-x+1/2,-z+1/2'
'-x+1/2,-y+1/2,z'
'x+1/2,y+1/2,-z'
'y+1/2,-x,z+1/2'
'-y+1/2,x,-z+1/2'
'x,-y+1/2,-z+1/2'
'-x,y+1/2,z+1/2'
'-y,-x,-z'
'y,x,z'
'-x+1/2,y,-z+1/2'
'x+1/2,-y,z+1/2'
'y+1/2,x+1/2,-z'
'-y+1/2,-x+1/2,z'
'z,x,y'
'-z,-x,-y'
'z+1/2,-y,x+1/2'
'-z+1/2,y,-x+1/2'
'z,-x+1/2,-y+1/2'
'-z,x+1/2,y+1/2'
'z+1/2,y+1/2,-x'
'-z+1/2,-y+1/2,x'
'-z+1/2,x,-y+1/2'
'z+1/2,-x,y+1/2'
'-z,-y,-x'
'z,y,x'
'-z+1/2,-x+1/2,y'
'z+1/2,x+1/2,-y'
'-z,y+1/2,x+1/2'
'z,-y+1/2,-x+1/2'
'y,z,x'
'-y,-z,-x'
'x+1/2,z+1/2,-y'
'-x+1/2,-z+1/2,y'
'-y+1/2,z,-x+1/2'
'y+1/2,-z,x+1/2'
'-x,z+1/2,y+1/2'
'x,-z+1/2,-y+1/2'
'-y+1/2,-z+1/2,x'
'y+1/2,z+1/2,-x'
'-x,-z,-y'
'x,z,y'
'y,-z+1/2,-x+1/2'
'-y,z+1/2,x+1/2'
'x+1/2,-z,y+1/2'
'-x+1/2,z,-y+1/2'
loop_
_atom_site_label
_atom_site_type_symbol
_atom_site_fract_x
_atom_site_fract_y
_atom_site_fract_z
_atom_site_occupancy
Nd1 Nd 0.0000 0.0000 0.0000 1
Al1 Al 0.0000 0.2500 0.7500 1
Pb1 Pb 0.1156 0.1156 0.3844 1
O1 O 0.0923 0.0923 0.7623 1
O2 O 0.1409 0.1409 0.1409 1
```

Peak list (10 most intense, 2θ = 10–80°, by angle)
two_theta	I (rel.)	hkl
13.2	703	1 1 0
28.1	1000	2 2 1
29.7	759	3 1 0
31.2	623	3 1 1
40.2	460	3 3 0
48.8	279	5 1 0
49.8	349	5 1 1
54.5	373	4 4 0
55.4	256	5 2 2
56.3	221	4 3 3


No. 3
For CsHfAuSe3, a PBE-relaxed structure gives the simulated powder XRD pattern in this record (λ = 1.5418 Å (Cu Kα)).

Atomic structure:
```
data_CsHfAuSe3
_chemical_formula_sum 'Cs4 Hf4 Au4 Se12'
_symmetry_space_group_name_H-M 'P n m a'
_symmetry_Int_Tables_number 62
_cell_length_a 14.5417
_cell_length_b 4.0053
_cell_length_c 11.9270
_cell_angle_alpha 90.00
_cell_angle_beta 90.00
_cell_angle_gamma 90.00
loop_
_symmetry_equiv_pos_as_xyz
'x,y,z'
'-x,-y,-z'
'-x+1/2,-y,z+1/2'
'x+1/2,y,-z+1/2'
'x+1/2,-y+1/2,-z+1/2'
'-x+1/2,y+1/2,z+1/2'
'-x,y+1/2,-z'
'x,-y+1/2,z'
loop_
_atom_site_label
_atom_site_type_symbol
_atom_site_fract_x
_atom_site_fract_y
_atom_site_fract_z
_atom_site_occupancy
Cs1 Cs 0.1578 0.2500 0.0064 1
Hf1 Hf 0.0413 0.7500 0.6361 1
Au1 Au 0.1969 0.7500 0.2532 1
Se1 Se 0.0259 0.7500 0.2298 1
Se2 Se 0.1080 0.2500 0.5046 1
Se3 Se 0.1888 0.7500 0.7583 1
```

Peak list (10 most intense, 2θ = 10–80°, by angle)
two_theta	I (rel.)	hkl
19.8	217	3 0 1
27.5	211	1 1 2
28.8	255	4 0 2
29.5	1000	2 1 2
30.0	214	0 0 4
31.7	234	0 1 3
32.5	246	2 0 4
36.6	236	4 1 2
43.7	432	6 1 0
45.3	252	0 2 0


No. 4
For Na2Bi2Pt, a PBE-relaxed structure gives the simulated powder XRD pattern in this record (λ = 1.5418 Å (Cu Kα)).

Atomic structure:
```
data_Na2Bi2Pt
_chemical_formula_sum 'Na8 Bi8 Pt4'
_symmetry_space_group_name_H-M 'C m c m'
_symmetry_Int_Tables_number 63
_symmetry_space_group_name_Hall '-C 2c 2'
_cell_length_a 6.6496
_cell_length_b 14.2313
_cell_length_c 5.8059
_cell_angle_alpha 90.00
_cell_angle_beta 90.00
_cell_angle_gamma 90.00
loop_
_atom_site_label
_atom_site_type_symbol
_atom_site_fract_x
_atom_site_fract_y
_atom_site_fract_z
_atom_site_occupancy
Na1 Na 0.0000 0.0864 0.2500 1
Na2 Na 0.0000 0.3188 0.7500 1
Bi1 Bi 0.2477 0.3777 0.2500 1
Pt1 Pt 0.0000 0.5000 0.0000 1
```

Peak list (10 most intense, 2θ = 10–80°, by angle)
two_theta	I (rel.)	hkl
12.4	414	0 2 0
14.7	488	1 1 0
19.7	1000	0 2 1
33.5	825	2 2 1
34.3	247	1 5 0
37.0	530	2 4 0
40.1	480	0 4 2
41.3	387	2 0 2
49.8	219	2 6 1
67.9	215	2 8 2


No. 5
For Li7Zn2, a PBE-relaxed structure gives the simulated powder XRD pattern in this record (λ = 1.5418 Å (Cu Kα)).

Atomic structure:
```
data_Li7Zn2
_chemical_formula_sum 'Li7 Zn2'
_symmetry_space_group_name_H-M 'P -3 m 1'
_symmetry_Int_Tables_number 164
_symmetry_space_group_name_Hall '-P 3 2"'
_cell_length_a 4.4517
_cell_length_b 4.4517
_cell_length_c 8.1875
_cell_angle_alpha 90.00
_cell_angle_beta 90.00
_cell_angle_gamma 120.00
loop_
_atom_site_label
_atom_site_type_symbol
_atom_site_fract_x
_atom_site_fract_y
_atom_site_fract_z
_atom_site_occupancy
Li1 Li 0.0000 0.0000 0.0000 1
Li2 Li 0.0000 0.0000 0.3258 1
Li3 Li 0.3333 0.6667 0.5631 1
Li4 Li 0.3333 0.6667 0.8937 1
Zn1 Zn 0.3333 0.6667 0.2284 1
```

Peak list (10 most intense, 2θ = 10–80°, by angle)
two_theta	I (rel.)	hkl
21.7	316	0 0 2
23.1	217	1 0 0
25.5	1000	1 0 1
31.9	216	0 1 2
40.5	786	1 1 0
46.4	248	1 1 2
48.5	169	0 2 1
58.6	138	0 2 3
61.5	141	1 0 5
73.7	243	3 0 0


No. 6
For Na2Li2ZnTeO6, a PBE-relaxed structure gives the simulated powder XRD pattern in this record (λ = 1.5418 Å (Cu Kα)).

Atomic structure:
```
data_Na2Li2ZnTeO6
_chemical_formula_sum 'Na4 Li4 Zn2 Te2 O12'
_symmetry_space_group_name_H-M 'C 1 2 1'
_symmetry_Int_Tables_number 5
_cell_length_a 5.2612
_cell_length_b 9.2078
_cell_length_c 5.4746
_cell_angle_alpha 90.00
_cell_angle_beta 111.09
_cell_angle_gamma 90.00
loop_
_symmetry_equiv_pos_as_xyz
'x,y,z'
'-x,y,-z'
'x+1/2,y+1/2,z'
'-x+1/2,y+1/2,-z'
loop_
_atom_site_label
_atom_site_type_symbol
_atom_site_fract_x
_atom_site_fract_y
_atom_site_fract_z
_atom_site_occupancy
Na1 Na 0.0000 0.0000 0.0000 1
Na2 Na 0.0000 0.3567 0.0000 1
Li1 Li 0.0000 0.6821 0.0000 1
Li2 Li 0.0000 0.8418 0.5000 1
Zn1 Zn 0.0000 0.5149 0.5000 1
Te1 Te 0.0000 0.1802 0.5000 1
O1 O 0.2311 0.1782 0.2895 1
O2 O 0.2341 0.3312 0.7190 1
O3 O 0.2415 0.0330 0.7231 1
```

Peak list (10 most intense, 2θ = 10–80°, by angle)
two_theta	I (rel.)	hkl
17.4	1000	0 0 1
20.5	728	1 1 0
22.3	369	1 1 -1
26.1	457	0 2 1
34.4	382	1 3 0
35.6	300	1 3 -1
40.8	463	2 0 -2
41.9	869	1 3 1
58.9	262	1 3 -3
60.9	284	3 3 -1


No. 7
For Li6Re2O7, a PBE-relaxed structure gives the simulated powder XRD pattern in this record (λ = 1.5418 Å (Cu Kα)).

Atomic structure:
```
data_Li6Re2O7
_chemical_formula_sum 'Li6 Re2 O7'
_symmetry_space_group_name_H-M 'P -1'
_symmetry_Int_Tables_number 2
_cell_length_a 4.7054
_cell_length_b 5.0433
_cell_length_c 5.9682
_cell_angle_alpha 87.71
_cell_angle_beta 74.28
_cell_angle_gamma 79.23
loop_
_symmetry_equiv_pos_as_xyz
'x,y,z'
'-x,-y,-z'
loop_
_atom_site_label
_atom_site_type_symbol
_atom_site_fract_x
_atom_site_fract_y
_atom_site_fract_z
_atom_site_occupancy
Li1 Li 0.2061 0.3683 0.3301 1
Li2 Li 0.2209 0.3782 0.8259 1
Li3 Li 0.2315 0.9151 0.5577 1
Re1 Re 0.2590 0.8878 0.0549 1
O1 O 0.0170 0.7446 0.8619 1
O2 O 0.0291 0.7424 0.3554 1
O3 O 0.4990 0.0152 0.7355 1
O4 O 0.5000 0.5000 0.0000 1
```

Peak list (10 most intense, 2θ = 10–80°, by angle)
two_theta	I (rel.)	hkl
15.4	1000	0 0 1
17.9	485	0 1 0
23.8	295	0 1 1
24.3	113	1 1 0
29.3	136	1 -1 0
30.5	140	1 -1 1
31.6	151	1 1 -1
44.0	142	1 1 -2
45.0	138	1 -2 0
45.2	139	2 1 2


No. 8
For BaReNO, a PBE-relaxed structure gives the simulated powder XRD pattern in this record (λ = 1.5418 Å (Cu Kα)).

Atomic structure:
```
data_BaReNO
_chemical_formula_sum 'Ba2 Re2 N2 O2'
_symmetry_space_group_name_H-M 'P m m a'
_symmetry_Int_Tables_number 51
_cell_length_a 6.0434
_cell_length_b 3.9982
_cell_length_c 5.7687
_cell_angle_alpha 90.00
_cell_angle_beta 90.00
_cell_angle_gamma 90.00
loop_
_symmetry_equiv_pos_as_xyz
'x,y,z'
'-x,-y,-z'
'-x+1/2,-y,z'
'x+1/2,y,-z'
'x+1/2,-y,-z'
'-x+1/2,y,z'
'-x,y,-z'
'x,-y,z'
loop_
_atom_site_label
_atom_site_type_symbol
_atom_site_fract_x
_atom_site_fract_y
_atom_site_fract_z
_atom_site_occupancy
Ba1 Ba 0.2500 0.0000 0.2220 1
Re1 Re 0.2500 0.5000 0.6941 1
N1 N 0.0000 0.5000 0.5000 1
O1 O 0.2500 0.0000 0.7538 1
```

Peak list (10 most intense, 2θ = 10–80°, by angle)
two_theta	I (rel.)	hkl
27.1	73	0 1 1
29.6	289	2 0 0
31.0	1000	1 1 1
34.5	102	1 0 2
43.4	171	2 0 2
45.4	104	0 2 0
53.3	183	3 1 1
55.1	174	2 2 0
61.7	80	2 1 3
64.6	109	2 2 2